[1]
Cs4Ge3PbCl12: simulated X-ray powder pattern (λ = 1.5418 Å (Cu Kα)), based on the GGA-PBE geometry in Alexandria.
Neutral-atom scattering factors, no anomalous dispersion.

Structural model:
Unit cell a=9.4229 b=9.4229 c=9.4229 alpha=109.47 beta=109.47 gamma=109.47
Element x y z (fractional)
Cs1 0.0000 0.0000 0.5000
Cs2 0.0000 0.5000 0.0000
Cs3 0.5000 0.0000 0.0000
Cs4 0.5000 0.5000 0.5000
Ge1 0.0000 0.5000 0.5000
Ge2 0.5000 0.0000 0.5000
Ge3 0.5000 0.5000 0.0000
Pb1 0.0000 0.0000 0.0000
Cl1 0.0000 0.2603 0.2603
Cl2 0.0000 0.7397 0.7397
Cl3 0.2500 0.5000 0.7500
Cl4 0.2500 0.7500 0.5000
Cl5 0.2603 0.0000 0.2603
Cl6 0.2603 0.2603 0.0000
Cl7 0.5000 0.2500 0.7500
Cl8 0.5000 0.7500 0.2500
Cl9 0.7397 0.0000 0.7397
Cl10 0.7397 0.7397 0.0000
Cl11 0.7500 0.2500 0.5000
Cl12 0.7500 0.5000 0.2500

Top 8 peaks for 2θ = 10–90°, in order of falling intensity:
| two_theta | Rel. int. |
| --- | --- |
| 23.1 | 100 |
| 32.9 | 61 |
| 40.6 | 47 |
| 47.3 | 42 |
| 64.0 | 25 |
| 53.2 | 22 |
| 78.7 | 18 |
| 28.4 | 18 |



[2]
CsScGeCl6: simulated X-ray powder pattern (λ = 1.5418 Å (Cu Kα)), based on the GGA-PBE geometry in Alexandria.
Neutral-atom scattering factors, no anomalous dispersion.

Structural model:
Unit cell a=6.8443 b=6.8443 c=7.7214 alpha=90.00 beta=90.00 gamma=120.00
Element x y z (fractional)
Cs1 0.0000 0.0000 0.0000
Sc1 0.6667 0.3333 0.5000
Ge1 0.3333 0.6667 0.5000
Cl1 0.3869 0.0187 0.6897
Cl2 0.3869 0.3682 0.3103
Cl3 0.6318 0.0187 0.3103
Cl4 0.6318 0.6131 0.6897
Cl5 0.9813 0.3682 0.6897
Cl6 0.9813 0.6131 0.3103

Top 8 peaks for 2θ = 10–90°, in order of falling intensity:
| two_theta | Rel. int. |
| --- | --- |
| 18.9 | 100 |
| 35.0 | 58 |
| 42.0 | 25 |
| 28.5 | 25 |
| 45.9 | 19 |
| 32.4 | 17 |
| 46.7 | 14 |
| 57.3 | 13 |



[3]
CsSn2GeCl8: simulated X-ray powder pattern (λ = 1.5418 Å (Cu Kα)), based on the GGA-PBE geometry in Alexandria.
Neutral-atom scattering factors, no anomalous dispersion.

Structural model:
Unit cell a=6.7794 b=6.8044 c=9.3866 alpha=81.29 beta=82.62 gamma=82.57
Element x y z (fractional)
Cs1 0.0000 0.0000 0.0000
Sn1 0.4667 0.4535 0.2544
Sn2 0.5333 0.5465 0.7456
Ge1 0.0000 0.0000 0.5000
Cl1 0.1764 0.7686 0.6963
Cl2 0.1909 0.7891 0.3214
Cl3 0.2866 0.2313 0.4679
Cl4 0.3747 0.2813 0.0537
Cl5 0.6253 0.7187 0.9463
Cl6 0.7134 0.7687 0.5321
Cl7 0.8091 0.2109 0.6786
Cl8 0.8236 0.2314 0.3037

Top 8 peaks for 2θ = 10–90°, in order of falling intensity:
| two_theta | Rel. int. |
| --- | --- |
| 17.7 | 100 |
| 19.8 | 80 |
| 21.9 | 51 |
| 24.9 | 43 |
| 22.2 | 37 |
| 37.5 | 29 |
| 35.7 | 26 |
| 31.7 | 25 |



[4]
Cs3SrGe2Cl9: simulated X-ray powder pattern (λ = 1.5418 Å (Cu Kα)), based on the GGA-PBE geometry in Alexandria.
Neutral-atom scattering factors, no anomalous dispersion.

Structural model:
Unit cell a=7.7384 b=7.7384 c=9.5082 alpha=90.00 beta=90.00 gamma=120.00
Element x y z (fractional)
Cs1 0.0000 0.0000 0.0000
Cs2 0.3333 0.6667 0.6784
Cs3 0.6667 0.3333 0.3216
Sr1 0.0000 0.0000 0.5000
Ge1 0.3333 0.6667 0.1589
Ge2 0.6667 0.3333 0.8411
Cl1 0.0000 0.5000 0.0000
Cl2 0.1732 0.3463 0.3241
Cl3 0.1732 0.8268 0.3241
Cl4 0.3463 0.1732 0.6759
Cl5 0.5000 0.0000 0.0000
Cl6 0.5000 0.5000 0.0000
Cl7 0.6537 0.8268 0.3241
Cl8 0.8268 0.1732 0.6759
Cl9 0.8268 0.6537 0.6759

Top 8 peaks for 2θ = 10–90°, in order of falling intensity:
| two_theta | Rel. int. |
| --- | --- |
| 23.0 | 100 |
| 32.7 | 68 |
| 28.2 | 35 |
| 40.3 | 34 |
| 47.0 | 23 |
| 46.9 | 23 |
| 52.9 | 21 |
| 63.6 | 19 |



Q: Number 1 is which compound?
A: Cs4Ge3PbCl12